# 1
Diffraction record for NbPHCl2. The XRD peak list is theoretical, not measured: it uses DFT lattice parameters and positions (PBE) and Cu Kα X-rays.
No peak broadening, texture or thermal motion is included.

Main lines, most intense first (5° ≤ 2θ ≤ 70°):
2θ/deg  Rel. int.
17.9  100
18.4  55
36.2  40
40.9  26
53.0  25
40.7  23
25.8  22
41.6  21

Crystal structure
```
NbPHCl2
1.0
4.9611 0.0000 0.0000
0.0000 4.9611 0.0000
0.0000 0.0000 4.8224
Nb P H Cl
1 1 1 2
Direct
0.0000 0.0000 0.0000 Nb
0.0000 0.0000 0.5000 P
0.5000 0.5000 0.5000 H
0.0000 0.5000 0.0000 Cl
0.5000 0.0000 0.0000 Cl
```

# 2
Diffraction record for RbNbH2Cl8. The XRD peak list is theoretical, not measured: it uses DFT lattice parameters and positions (PBE) and Cu Kα X-rays.
No peak broadening, texture or thermal motion is included.

Main lines, most intense first (5° ≤ 2θ ≤ 70°):
2θ/deg  Rel. int.
14.6  100
13.8  99
28.0  78
31.6  68
17.0  66
22.8  56
19.7  53
21.9  48

Crystal structure
```
RbNbH2Cl8
1.0
6.7051 0.0000 0.0000
1.7425 6.9004 0.0000
1.8619 2.5162 8.1261
Rb Nb H Cl
1 1 2 8
Direct
0.0000 0.0000 0.0000 Rb
0.0000 0.5000 0.5000 Nb
0.4231 0.2439 0.2237 H
0.5769 0.7561 0.7763 H
0.0555 0.4876 0.7647 Cl
0.1393 0.8026 0.3822 Cl
0.3408 0.3009 0.4617 Cl
0.4726 0.2053 0.0814 Cl
0.5274 0.7947 0.9186 Cl
0.6592 0.6991 0.5383 Cl
0.8607 0.1974 0.6178 Cl
0.9445 0.5124 0.2353 Cl
```

# 3
Diffraction record for Nb2SbHCl. The XRD peak list is theoretical, not measured: it uses DFT lattice parameters and positions (PBE) and Cu Kα X-rays.
No peak broadening, texture or thermal motion is included.

Main lines, most intense first (5° ≤ 2θ ≤ 70°):
2θ/deg  Rel. int.
33.2  100
42.4  63
25.6  61
30.5  50
47.7  35
16.4  33
45.8  31
54.9  29

Crystal structure
```
Nb2SbHCl
1.0
5.3911 0.0000 0.0000
0.0000 5.3911 0.0000
0.0000 0.0000 3.4862
Nb Sb H Cl
2 1 1 1
Direct
0.0000 0.5000 0.0000 Nb
0.5000 0.0000 0.0000 Nb
0.0000 0.0000 0.0000 Sb
0.0000 0.0000 0.5000 H
0.5000 0.5000 0.5000 Cl
```

# 4
Diffraction record for NdH2Cl6. The XRD peak list is theoretical, not measured: it uses DFT lattice parameters and positions (PBE) and Cu Kα X-rays.
No peak broadening, texture or thermal motion is included.

Main lines, most intense first (5° ≤ 2θ ≤ 70°):
2θ/deg  Rel. int.
9.1  100
19.2  73
11.9  69
30.5  36
30.8  34
23.3  31
37.1  25
35.6  24

Crystal structure
```
NdH2Cl6
1.0
7.4926 -6.3949 0.0000
7.4926 6.3949 0.0000
-0.7653 0.0000 5.5375
Nd H Cl
2 4 12
Direct
0.1152 0.8848 0.7500 Nd
0.8848 0.1152 0.2500 Nd
0.2598 0.4961 0.8159 H
0.4961 0.2598 0.3159 H
0.5039 0.7402 0.6841 H
0.7402 0.5039 0.1841 H
0.0390 0.1698 0.6663 Cl
0.1329 0.6133 0.8485 Cl
0.1698 0.0390 0.1663 Cl
0.3718 0.3765 0.3016 Cl
0.3765 0.3718 0.8016 Cl
0.3867 0.8671 0.6515 Cl
0.6133 0.1329 0.3485 Cl
0.6235 0.6282 0.1984 Cl
0.6282 0.6235 0.6984 Cl
0.8302 0.9610 0.8337 Cl
0.8671 0.3867 0.1515 Cl
0.9610 0.8302 0.3337 Cl
```